No. 1
# Sc4Co2Ni
Theoretical powder diffractogram, λ = 1.5418 Å (Cu Kα). Input: a structure optimized by DFT (PBE).

Structure:
```
data_Sc4Co2Ni
_symmetry_space_group_name_H-M 'P 1'
_symmetry_Int_Tables_number 1
_cell_length_a 7.614
_cell_length_b 7.614
_cell_length_c 7.614
_cell_angle_alpha 33.65
_cell_angle_beta 33.65
_cell_angle_gamma 33.65
loop_
_symmetry_equiv_pos_as_xyz
'x,y,z'
loop_
_atom_site_label
_atom_site_fract_x
_atom_site_fract_y
_atom_site_fract_z
Sc1 0.122 0.122 0.122
Sc2 0.373 0.373 0.373
Sc3 0.627 0.627 0.627
Sc4 0.878 0.878 0.878
Co1 0.247 0.247 0.247
Co2 0.753 0.753 0.753
Ni1 0.500 0.500 0.500
```

Principal peaks in the range 10° ≤ 2θ ≤ 80°, sorted by position:
2theta, I_rel
12.33, 11
24.76, 7
40.99, 100
59.36, 15
74.62, 22
74.82, 7

=====

No. 2
# ZnIn4Pd2
Theoretical powder diffractogram, λ = 1.5418 Å (Cu Kα). Input: a structure optimized by DFT (PBE).

Structure:
```
data_ZnIn4Pd2
_symmetry_space_group_name_H-M 'P 1'
_symmetry_Int_Tables_number 1
_cell_length_a 9.533
_cell_length_b 9.533
_cell_length_c 9.533
_cell_angle_alpha 26.72
_cell_angle_beta 26.72
_cell_angle_gamma 26.72
loop_
_symmetry_equiv_pos_as_xyz
'x,y,z'
loop_
_atom_site_label
_atom_site_fract_x
_atom_site_fract_y
_atom_site_fract_z
Zn1 0.000 0.000 0.000
In1 0.199 0.199 0.199
In2 0.386 0.386 0.386
In3 0.614 0.614 0.614
In4 0.801 0.801 0.801
Pd1 0.094 0.094 0.094
Pd2 0.906 0.906 0.906
```

Principal peaks in the range 10° ≤ 2θ ≤ 80°, sorted by position:
2theta, I_rel
26.71, 32
28.45, 44
32.68, 28
40.37, 80
40.97, 100
58.87, 26

=====

No. 3
# Mg14ZnNi
Theoretical powder diffractogram, λ = 1.5418 Å (Cu Kα). Input: a structure optimized by DFT (PBE).

Structure:
```
data_Mg14ZnNi
_symmetry_space_group_name_H-M 'P 1'
_symmetry_Int_Tables_number 1
_cell_length_a 10.097
_cell_length_b 6.177
_cell_length_c 6.177
_cell_angle_alpha 60.70
_cell_angle_beta 90.00
_cell_angle_gamma 90.00
loop_
_symmetry_equiv_pos_as_xyz
'x,y,z'
loop_
_atom_site_label
_atom_site_fract_x
_atom_site_fract_y
_atom_site_fract_z
Mg1 0.000 0.000 0.000
Mg2 0.000 0.494 0.997
Mg3 0.000 0.499 0.499
Mg4 0.000 0.997 0.494
Mg5 0.248 0.831 0.831
Mg6 0.255 0.332 0.332
Mg7 0.280 0.331 0.819
Mg8 0.280 0.819 0.331
Mg9 0.500 0.021 0.518
Mg10 0.500 0.518 0.021
Mg11 0.720 0.331 0.819
Mg12 0.720 0.819 0.331
Mg13 0.745 0.332 0.332
Mg14 0.752 0.831 0.831
Zn1 0.500 0.001 0.001
Ni1 0.500 0.489 0.489
```

Principal peaks in the range 10° ≤ 2θ ≤ 80°, sorted by position:
2theta, I_rel
33.26, 23
35.57, 35
37.86, 100
38.18, 42
59.90, 15
65.39, 15

=====

No. 4
# Tl5Re6Se8Cl7
Theoretical powder diffractogram, λ = 1.5418 Å (Cu Kα). Input: a structure optimized by DFT (PBE).

Structure:
```
data_Tl5Re6Se8Cl7
_symmetry_space_group_name_H-M 'P 1'
_symmetry_Int_Tables_number 1
_cell_length_a 18.724
_cell_length_b 18.724
_cell_length_c 18.724
_cell_angle_alpha 30.20
_cell_angle_beta 30.20
_cell_angle_gamma 30.20
loop_
_symmetry_equiv_pos_as_xyz
'x,y,z'
loop_
_atom_site_label
_atom_site_fract_x
_atom_site_fract_y
_atom_site_fract_z
Tl1 0.000 0.000 0.000
Tl2 0.095 0.797 0.400
Tl3 0.194 0.194 0.194
Tl4 0.297 0.595 0.900
Tl5 0.400 0.095 0.797
Tl6 0.500 0.500 0.500
Tl7 0.595 0.900 0.297
Tl8 0.694 0.694 0.694
Tl9 0.797 0.400 0.095
Tl10 0.900 0.297 0.595
Re1 0.001 0.906 0.695
Re2 0.194 0.499 0.288
Re3 0.195 0.406 0.501
Re4 0.288 0.194 0.499
Re5 0.406 0.501 0.195
Re6 0.499 0.288 0.194
Re7 0.501 0.195 0.406
Re8 0.694 0.788 0.999
Re9 0.695 0.001 0.906
Re10 0.788 0.999 0.694
Re11 0.906 0.695 0.001
Re12 0.999 0.694 0.788
Se1 0.084 0.904 0.495
Se2 0.110 0.700 0.290
Se3 0.200 0.610 0.790
Se4 0.289 0.289 0.289
Se5 0.290 0.110 0.700
Se6 0.404 0.584 0.995
Se7 0.406 0.406 0.406
Se8 0.495 0.084 0.904
Se9 0.584 0.995 0.404
Se10 0.610 0.790 0.200
Se11 0.700 0.290 0.110
Se12 0.789 0.789 0.789
Se13 0.790 0.200 0.610
Se14 0.904 0.495 0.084
Se15 0.906 0.906 0.906
Se16 0.995 0.404 0.584
Cl1 0.097 0.097 0.097
Cl2 0.197 0.495 0.708
Cl3 0.200 0.987 0.497
Cl4 0.208 0.995 0.697
Cl5 0.487 0.700 0.997
Cl6 0.495 0.708 0.197
Cl7 0.497 0.200 0.987
Cl8 0.597 0.597 0.597
Cl9 0.697 0.208 0.995
Cl10 0.700 0.997 0.487
Cl11 0.708 0.197 0.495
Cl12 0.987 0.497 0.200
Cl13 0.995 0.697 0.208
Cl14 0.997 0.487 0.700
```

Principal peaks in the range 10° ≤ 2θ ≤ 80°, sorted by position:
2theta, I_rel
10.98, 100
12.39, 42
20.75, 32
31.03, 22
32.65, 22
45.01, 28

=====

No. 5
# PaCd4
Theoretical powder diffractogram, λ = 1.5418 Å (Cu Kα). Input: a structure optimized by DFT (PBE).

Structure:
```
data_PaCd4
_symmetry_space_group_name_H-M 'P 1'
_symmetry_Int_Tables_number 1
_cell_length_a 6.110
_cell_length_b 6.110
_cell_length_c 6.110
_cell_angle_alpha 90.00
_cell_angle_beta 90.00
_cell_angle_gamma 90.00
loop_
_symmetry_equiv_pos_as_xyz
'x,y,z'
loop_
_atom_site_label
_atom_site_fract_x
_atom_site_fract_y
_atom_site_fract_z
Pa1 0.000 0.000 0.000
Cd1 0.000 0.000 0.500
Cd2 0.000 0.500 0.000
Cd3 0.500 0.000 0.000
Cd4 0.500 0.500 0.500
```

Principal peaks in the range 10° ≤ 2θ ≤ 80°, sorted by position:
2theta, I_rel
14.50, 55
20.56, 50
29.23, 100
32.77, 32
41.81, 76
68.70, 34

=====

No. 6
# ZnPd6
Theoretical powder diffractogram, λ = 1.5418 Å (Cu Kα). Input: a structure optimized by DFT (PBE).

Structure:
```
data_ZnPd6
_symmetry_space_group_name_H-M 'P 1'
_symmetry_Int_Tables_number 1
_cell_length_a 6.821
_cell_length_b 6.821
_cell_length_c 6.821
_cell_angle_alpha 37.81
_cell_angle_beta 37.81
_cell_angle_gamma 37.81
loop_
_symmetry_equiv_pos_as_xyz
'x,y,z'
loop_
_atom_site_label
_atom_site_fract_x
_atom_site_fract_y
_atom_site_fract_z
Zn1 0.000 0.000 0.000
Pd1 0.140 0.140 0.140
Pd2 0.288 0.288 0.288
Pd3 0.430 0.430 0.430
Pd4 0.570 0.570 0.570
Pd5 0.712 0.712 0.712
Pd6 0.860 0.860 0.860
```

Principal peaks in the range 10° ≤ 2θ ≤ 80°, sorted by position:
2theta, I_rel
23.71, 1
33.24, 1
40.81, 100
59.09, 16
74.28, 24
74.35, 8